(1)
Simulated X-ray powder pattern
Compound: Na2CuH4C4O10
Radiation: CuKα
Structure: DFT lattice parameters and positions (PBE)
Neutral-atom scattering factors, no anomalous dispersion.

Cell and atoms:
abc: 3.6078 7.5938 9.5635
angles: 104.02 98.24 103.74
Fractional coordinates of all 21 atoms:
Na: 0.1901 0.2987 0.0734
Na: 0.8099 0.7013 0.9266
Cu: 0.5000 0.0000 0.5000
H: 0.0598 0.4710 0.6924
H: 0.1743 0.6763 0.6723
H: 0.8257 0.3237 0.3277
H: 0.9402 0.5290 0.3076
C: 0.2343 0.0283 0.7545
C: 0.4597 0.7803 0.2243
C: 0.5403 0.2197 0.7757
C: 0.7657 0.9717 0.2455
O: 0.0742 0.0014 0.8574
O: 0.1634 0.9067 0.6252
O: 0.2094 0.6034 0.7426
O: 0.3082 0.7654 0.3372
O: 0.3748 0.6551 0.1036
O: 0.6252 0.3449 0.8964
O: 0.6918 0.2346 0.6628
O: 0.7906 0.3966 0.2574
O: 0.8366 0.0933 0.3748
O: 0.9258 0.9986 0.1426

Largest 6 diffraction maxima, most intense first, 2θ from 15° to 90°:
(hkl)  2θ/deg  intensity
1 -1 1  28.05  100
1 -2 1  31.83  43
0 2 -1  24.27  35
1 -2 2  35.78  31
0 1 1  18.00  29
1 0 -3  35.17  25

(2)
Simulated X-ray powder pattern
Compound: CuHCO4
Radiation: CuKα
Structure: DFT lattice parameters and positions (PBE)
Neutral-atom scattering factors, no anomalous dispersion.

Cell and atoms:
abc: 10.7512 10.7512 6.0890
angles: 90.00 90.00 120.00
Fractional coordinates of all 42 atoms:
Cu: 0.0000 0.5000 0.0000
Cu: 0.0000 0.5000 0.5000
Cu: 0.5000 0.0000 0.0000
Cu: 0.5000 0.0000 0.5000
Cu: 0.5000 0.5000 0.0000
Cu: 0.5000 0.5000 0.5000
H: 0.1870 0.5936 0.2500
H: 0.4064 0.5934 0.2500
H: 0.4066 0.8130 0.2500
H: 0.5934 0.1870 0.7500
H: 0.5936 0.4066 0.7500
H: 0.8130 0.4064 0.7500
C: 0.1925 0.7510 0.7500
C: 0.2490 0.4415 0.7500
C: 0.4415 0.1925 0.2500
C: 0.5585 0.8075 0.7500
C: 0.7510 0.5585 0.2500
C: 0.8075 0.2490 0.2500
O: 0.1014 0.4977 0.2500
O: 0.1190 0.4086 0.7500
O: 0.1470 0.6877 0.5592
O: 0.1470 0.6877 0.9408
O: 0.2896 0.8810 0.7500
O: 0.3123 0.4593 0.5592
O: 0.3123 0.4593 0.9408
O: 0.3963 0.8986 0.2500
O: 0.4086 0.2896 0.2500
O: 0.4593 0.1470 0.0592
O: 0.4593 0.1470 0.4408
O: 0.4977 0.3963 0.7500
O: 0.5023 0.6037 0.2500
O: 0.5407 0.8530 0.5592
O: 0.5407 0.8530 0.9408
O: 0.5914 0.7104 0.7500
O: 0.6037 0.1014 0.7500
O: 0.6877 0.5407 0.0592
O: 0.6877 0.5407 0.4408
O: 0.7104 0.1190 0.2500
O: 0.8530 0.3123 0.0592
O: 0.8530 0.3123 0.4408
O: 0.8810 0.5914 0.2500
O: 0.8986 0.5023 0.7500

Largest 6 diffraction maxima, most intense first, 2θ from 15° to 90°:
(hkl)  2θ/deg  intensity
2 0 0  19.06  100
2 0 2  35.22  36
1 1 0  16.49  27
0 0 4  60.81  20
2 2 2  44.99  18
1 2 2  39.12  17

(3)
Simulated X-ray powder pattern
Compound: Cu3H2C2O8
Radiation: CuKα
Structure: DFT lattice parameters and positions (PBE)
Neutral-atom scattering factors, no anomalous dispersion.

Cell and atoms:
abc: 5.0828 5.9070 10.5273
angles: 90.00 92.07 90.00
Fractional coordinates of all 30 atoms:
Cu: 0.0023 0.0000 0.2498
Cu: 0.2516 0.4987 0.3340
Cu: 0.2539 0.0020 0.8344
Cu: 0.7461 0.5020 0.1656
Cu: 0.7484 0.9987 0.6660
Cu: 0.9977 0.5000 0.7502
H: 0.1768 0.6973 0.1197
H: 0.1842 0.7977 0.6235
H: 0.8158 0.2977 0.3765
H: 0.8232 0.1973 0.8803
C: 0.3305 0.3026 0.5688
C: 0.3314 0.1982 0.0682
C: 0.6686 0.6982 0.9318
C: 0.6695 0.8026 0.4312
O: 0.0682 0.6860 0.1953
O: 0.0754 0.8134 0.6987
O: 0.1075 0.0985 0.0828
O: 0.1071 0.4046 0.5832
O: 0.4283 0.2971 0.4573
O: 0.4311 0.2019 0.9574
O: 0.4509 0.2926 0.1652
O: 0.4521 0.2099 0.6658
O: 0.5479 0.7099 0.3342
O: 0.5491 0.7926 0.8348
O: 0.5689 0.7019 0.0426
O: 0.5717 0.7971 0.5427
O: 0.8925 0.5985 0.9172
O: 0.8929 0.9046 0.4168
O: 0.9246 0.3134 0.3013
O: 0.9318 0.1860 0.8047

Largest 6 diffraction maxima, most intense first, 2θ from 15° to 90°:
(hkl)  2θ/deg  intensity
1 1 1  24.83  100
0 0 2  16.85  57
1 1 3  35.10  55
1 0 -2  23.91  53
2 1 1  39.85  32
1 2 -2  38.93  29

(4)
Simulated X-ray powder pattern
Compound: Cu3H2C2O8
Radiation: CuKα
Structure: DFT lattice parameters and positions (PBE)
Neutral-atom scattering factors, no anomalous dispersion.

Cell and atoms:
abc: 5.0700 6.0306 10.5001
angles: 90.00 92.74 90.00
Fractional coordinates of all 30 atoms:
Cu: 0.0000 0.0000 0.0000
Cu: 0.0000 0.5000 0.5000
Cu: 0.2509 0.9995 0.5838
Cu: 0.2509 0.5005 0.0838
Cu: 0.7491 0.0005 0.4162
Cu: 0.7491 0.4995 0.9162
H: 0.1793 0.2005 0.3751
H: 0.1793 0.2995 0.8751
H: 0.8207 0.7005 0.1249
H: 0.8207 0.7995 0.6249
C: 0.3334 0.6938 0.3191
C: 0.3334 0.8062 0.8191
C: 0.6666 0.1938 0.1809
C: 0.6666 0.3062 0.6809
O: 0.0688 0.1915 0.4498
O: 0.0688 0.3085 0.9498
O: 0.1143 0.5865 0.3335
O: 0.1143 0.9135 0.8335
O: 0.4314 0.6974 0.2081
O: 0.4314 0.8026 0.7081
O: 0.4488 0.7056 0.9155
O: 0.4488 0.7944 0.4155
O: 0.5512 0.2056 0.5845
O: 0.5512 0.2944 0.0845
O: 0.5686 0.1974 0.2919
O: 0.5686 0.3026 0.7919
O: 0.8857 0.0865 0.1665
O: 0.8857 0.4135 0.6665
O: 0.9312 0.6915 0.0502
O: 0.9312 0.8085 0.5502

Largest 6 diffraction maxima, most intense first, 2θ from 15° to 90°:
(hkl)  2θ/deg  intensity
1 1 1  24.77  100
0 0 2  16.92  83
1 0 -2  23.83  53
2 1 -1  39.16  36
1 1 3  35.19  36
2 1 1  39.93  31

(5)
Simulated X-ray powder pattern
Compound: Rb2CuH4C4O10
Radiation: CuKα
Structure: DFT lattice parameters and positions (PBE)
Neutral-atom scattering factors, no anomalous dispersion.

Cell and atoms:
abc: 7.0490 9.0077 9.0587
angles: 107.82 97.95 97.92
Fractional coordinates of all 42 atoms:
Rb: 0.1287 0.3808 0.3324
Rb: 0.2439 0.9498 0.3717
Rb: 0.7561 0.0502 0.6283
Rb: 0.8713 0.6192 0.6676
Cu: 0.0000 0.0000 0.0000
Cu: 0.5000 0.5000 0.0000
H: 0.0027 0.6721 0.0620
H: 0.2055 0.7310 0.0147
H: 0.3479 0.6880 0.7553
H: 0.3623 0.6822 0.5825
H: 0.6377 0.3178 0.4175
H: 0.6521 0.3120 0.2447
H: 0.7945 0.2690 0.9853
H: 0.9973 0.3279 0.9380
C: 0.2370 0.3434 0.7240
C: 0.2784 0.0350 0.8246
C: 0.3715 0.1339 0.0004
C: 0.4436 0.3490 0.6816
C: 0.5564 0.6510 0.3184
C: 0.6285 0.8661 0.9996
C: 0.7216 0.9650 0.1754
C: 0.7630 0.6566 0.2760
O: 0.0698 0.7446 0.0154
O: 0.0884 0.2778 0.6197
O: 0.0989 0.9636 0.8015
O: 0.2350 0.4090 0.8727
O: 0.2662 0.1213 0.1030
O: 0.2837 0.6332 0.6434
O: 0.3747 0.0310 0.7185
O: 0.4125 0.5761 0.2032
O: 0.4609 0.2814 0.5419
O: 0.4620 0.7796 0.9654
O: 0.5380 0.2204 0.0346
O: 0.5391 0.7186 0.4581
O: 0.5875 0.4239 0.7968
O: 0.6253 0.9690 0.2815
O: 0.7163 0.3668 0.3566
O: 0.7338 0.8787 0.8970
O: 0.7650 0.5910 0.1273
O: 0.9011 0.0364 0.1985
O: 0.9116 0.7222 0.3803
O: 0.9302 0.2554 0.9846

Largest 6 diffraction maxima, most intense first, 2θ from 15° to 90°:
(hkl)  2θ/deg  intensity
1 1 -1  17.75  100
1 -2 2  27.69  63
0 0 3  31.72  53
2 0 -1  26.12  52
0 3 0  31.90  48
1 -3 1  31.12  47